For Ba2CuWO6, the GGA+U geometry in Alexandria gives the computed powder XRD pattern in this record (CuKα).
Lines closer than 0.1° are merged.

Main lines, low angle first (2θ from 5° to 70°):
2theta  intensity
18.63  19.5
30.01  100.0
31.91  42.3
39.99  17.7
45.75  24.4
52.05  20.7
55.69  35.7
62.36  17.9
66.54  11.2
66.70  7.5

Structure:
```
Ba2CuWO6
1.0
-2.805 2.805 4.509
2.805 -2.805 4.509
2.805 2.805 -4.509
Ba Cu W O
2 1 1 6
Direct
0.250 0.750 0.500
0.750 0.250 0.500
0.000 0.000 0.000
0.500 0.500 0.000
0.242 0.263 0.505
0.263 0.758 0.021
0.284 0.284 0.000
0.716 0.716 0.000
0.737 0.242 0.979
0.758 0.737 0.495
```